Entry 1:
This entry pairs a crystal structure of SmGaAu3 with its simulated powder diffractogram. Radiation: Cu Ka. Structure: DFT lattice parameters and positions (PBE).
Kinematic intensities with the Lorentz-polarization factor, no thermal factor.

Top 8 peaks for 10 to 80 degrees two-theta, low angle first:
2θ (°), intensity
33.2, 12
35.8, 84
36.2, 100
36.9, 57
45.9, 25
65.8, 14
66.0, 18
69.6, 12

Structural model:
```
data_SmGaAu3
_chemical_formula_sum 'Sm4 Ga4 Au12'
_cell_length_a 9.1078
_cell_length_b 4.8734
_cell_length_c 9.2515
_cell_angle_alpha 90.00
_cell_angle_beta 90.00
_cell_angle_gamma 90.00
_space_group_name_H-M_alt 'P n m a'
_space_group_IT_number 62
loop_
_space_group_symop_operation_xyz
'x,y,z'
'-x,-y,-z'
'-x+1/2,-y,z+1/2'
'x+1/2,y,-z+1/2'
'x+1/2,-y+1/2,-z+1/2'
'-x+1/2,y+1/2,z+1/2'
'-x,y+1/2,-z'
'x,-y+1/2,z'
loop_
_atom_site_label
_atom_site_type_symbol
_atom_site_fract_x
_atom_site_fract_y
_atom_site_fract_z
Sm1 Sm 0.2365 0.2500 0.0027
Ga1 Ga 0.1079 0.2500 0.6695
Au1 Au 0.0764 0.2500 0.3905
Au2 Au 0.1045 0.7500 0.8489
Au3 Au 0.1074 0.7500 0.1614
```

---

Entry 2:
This entry pairs a crystal structure of CaFeOs with its simulated powder diffractogram. Radiation: Cu Ka. Structure: DFT lattice parameters and positions (PBE).
Kinematic intensities with the Lorentz-polarization factor, no thermal factor.

Top 8 peaks for 10 to 80 degrees two-theta, low angle first:
2θ (°), intensity
16.8, 100
28.9, 17
33.9, 26
37.3, 30
42.4, 31
42.6, 21
42.8, 32
50.0, 18

Structural model:
```
data_CaFeOs
_chemical_formula_sum 'Ca4 Fe4 Os4'
_cell_length_a 10.5903
_cell_length_b 4.2428
_cell_length_c 5.0371
_cell_angle_alpha 90.00
_cell_angle_beta 91.69
_cell_angle_gamma 90.00
_space_group_name_H-M_alt 'C 1 m 1'
_space_group_IT_number 8
loop_
_space_group_symop_operation_xyz
'x,y,z'
'x,-y,z'
'x+1/2,y+1/2,z'
'x+1/2,-y+1/2,z'
loop_
_atom_site_label
_atom_site_type_symbol
_atom_site_fract_x
_atom_site_fract_y
_atom_site_fract_z
Ca1 Ca 0.0000 0.0000 0.0000
Ca2 Ca 0.0492 0.5000 0.5067
Fe1 Fe 0.2727 0.0000 0.2698
Fe2 Fe 0.3129 0.5000 0.4910
Os1 Os 0.2337 0.5000 0.0146
Os2 Os 0.2736 0.0000 0.7499
```

---

Entry 3:
This entry pairs a crystal structure of Pm2Ag2AsO6 with its simulated powder diffractogram. Radiation: Cu Ka. Structure: DFT lattice parameters and positions (PBE).
Kinematic intensities with the Lorentz-polarization factor, no thermal factor.

Top 8 peaks for 10 to 80 degrees two-theta, low angle first:
2θ (°), intensity
14.0, 39
20.7, 31
28.3, 54
30.5, 51
31.8, 100
34.0, 64
50.8, 29
53.6, 28

Structural model:
```
data_Pm2Ag2AsO6
_chemical_formula_sum 'Pm4 Ag4 As2 O12'
_cell_length_a 5.9425
_cell_length_b 10.5411
_cell_length_c 6.3939
_cell_angle_alpha 90.00
_cell_angle_beta 99.33
_cell_angle_gamma 90.00
_space_group_name_H-M_alt 'C 1 2/m 1'
_space_group_IT_number 12
loop_
_space_group_symop_operation_xyz
'x,y,z'
'-x,-y,-z'
'-x,y,-z'
'x,-y,z'
'x+1/2,y+1/2,z'
'-x+1/2,-y+1/2,-z'
'-x+1/2,y+1/2,-z'
'x+1/2,-y+1/2,z'
loop_
_atom_site_label
_atom_site_type_symbol
_atom_site_fract_x
_atom_site_fract_y
_atom_site_fract_z
Pm1 Pm 0.0000 0.1622 0.0000
Ag1 Ag 0.0000 0.3512 0.5000
As1 As 0.0000 0.5000 0.0000
O1 O 0.1095 0.3514 0.8287
O2 O 0.1845 0.0000 0.8491
```

---

Entry 4:
This entry pairs a crystal structure of Tb6AgPd2 with its simulated powder diffractogram. Radiation: Cu Ka. Structure: DFT lattice parameters and positions (PBE).
Kinematic intensities with the Lorentz-polarization factor, no thermal factor.

Top 8 peaks for 10 to 80 degrees two-theta, low angle first:
2θ (°), intensity
31.5, 100
33.5, 67
34.0, 85
34.6, 65
34.9, 46
37.8, 37
38.6, 25
59.1, 39

Structural model:
```
data_Tb6AgPd2
_chemical_formula_sum 'Tb24 Ag4 Pd8'
_cell_length_a 9.5220
_cell_length_b 9.7123
_cell_length_c 10.3039
_cell_angle_alpha 90.00
_cell_angle_beta 90.00
_cell_angle_gamma 90.00
_space_group_name_H-M_alt 'I m m m'
_space_group_IT_number 71
_space_group_name_Hall '-I 2 2'
loop_
_atom_site_label
_atom_site_type_symbol
_atom_site_fract_x
_atom_site_fract_y
_atom_site_fract_z
Tb1 Tb 0.0000 0.1909 0.2407
Tb2 Tb 0.2003 0.5000 0.1723
Tb3 Tb 0.2172 0.3207 0.5000
Ag1 Ag 0.0000 0.0000 0.0000
Ag2 Ag 0.0000 0.0000 0.5000
Pd1 Pd 0.0000 0.3426 0.0000
Pd2 Pd 0.0000 0.5000 0.3676
```

---

Entry 5:
This entry pairs a crystal structure of BaSr3Zr4O12 with its simulated powder diffractogram. Radiation: Cu Ka. Structure: DFT lattice parameters and positions (PBE).
Kinematic intensities with the Lorentz-polarization factor, no thermal factor.

Top 8 peaks for 10 to 80 degrees two-theta, low angle first:
2θ (°), intensity
30.2, 99
30.3, 100
43.2, 21
43.3, 41
53.6, 25
53.7, 30
53.8, 29
62.9, 23

Structural model:
```
data_BaSr3Zr4O12
_chemical_formula_sum 'Ba1 Sr3 Zr4 O12'
_cell_length_a 5.9017
_cell_length_b 8.3515
_cell_length_c 5.9337
_cell_angle_alpha 90.00
_cell_angle_beta 90.16
_cell_angle_gamma 90.00
_space_group_name_H-M_alt 'P 1 m 1'
_space_group_IT_number 6
loop_
_space_group_symop_operation_xyz
'x,y,z'
'x,-y,z'
loop_
_atom_site_label
_atom_site_type_symbol
_atom_site_fract_x
_atom_site_fract_y
_atom_site_fract_z
Ba1 Ba 0.0000 0.0000 0.0000
Sr1 Sr 0.4881 0.0000 0.4856
Sr2 Sr 0.4981 0.5000 0.5368
Sr3 Sr 0.9887 0.5000 0.0454
Zr1 Zr 0.4944 0.2533 0.0123
Zr2 Zr 0.9955 0.2524 0.5164
O1 O 0.0662 0.5000 0.5067
O2 O 0.2209 0.2283 0.2385
O3 O 0.2812 0.2109 0.7277
O4 O 0.4190 0.5000 0.9838
O5 O 0.5444 0.0000 0.0393
O6 O 0.7193 0.2927 0.2897
O7 O 0.7776 0.2879 0.7951
O8 O 0.9238 0.0000 0.5116
```

---

Entry 6:
This entry pairs a crystal structure of PmSm6Sc3 with its simulated powder diffractogram. Radiation: Cu Ka. Structure: DFT lattice parameters and positions (PBE).
Kinematic intensities with the Lorentz-polarization factor, no thermal factor.

Top 8 peaks for 10 to 80 degrees two-theta, low angle first:
2θ (°), intensity
29.0, 83
29.5, 51
30.0, 38
30.6, 100
31.5, 25
33.9, 50
34.3, 23
34.7, 43

Structural model:
```
data_PmSm6Sc3
_chemical_formula_sum 'Pm4 Sm24 Sc12'
_cell_length_a 9.6700
_cell_length_b 20.7896
_cell_length_c 6.2110
_cell_angle_alpha 90.00
_cell_angle_beta 90.00
_cell_angle_gamma 90.00
_space_group_name_H-M_alt 'C m c 21'
_space_group_IT_number 36
loop_
_space_group_symop_operation_xyz
'x,y,z'
'-x,-y,z+1/2'
'-x,y,z'
'x,-y,z+1/2'
'x+1/2,y+1/2,z'
'-x+1/2,-y+1/2,z+1/2'
'-x+1/2,y+1/2,z'
'x+1/2,-y+1/2,z+1/2'
loop_
_atom_site_label
_atom_site_type_symbol
_atom_site_fract_x
_atom_site_fract_y
_atom_site_fract_z
Pm1 Pm 0.0000 0.2349 0.0000
Sm1 Sm 0.0000 0.0474 0.5683
Sm2 Sm 0.0000 0.3345 0.4296
Sm3 Sm 0.1758 0.4757 0.2450
Sm4 Sm 0.1985 0.1958 0.5742
Sc1 Sc 0.0000 0.3892 0.8969
Sc2 Sc 0.1787 0.1125 0.1147
```

---

Entry 7:
This entry pairs a crystal structure of PmZn2Pd3 with its simulated powder diffractogram. Radiation: Cu Ka. Structure: DFT lattice parameters and positions (PBE).
Kinematic intensities with the Lorentz-polarization factor, no thermal factor.

Top 8 peaks for 10 to 80 degrees two-theta, low angle first:
2θ (°), intensity
24.2, 11
36.9, 100
40.7, 93
42.9, 19
56.1, 29
71.6, 34
73.7, 12
74.1, 15

Structural model:
```
data_PmZn2Pd3
_chemical_formula_sum 'Pm2 Zn4 Pd6'
_cell_length_a 4.4313
_cell_length_b 4.4313
_cell_length_c 12.6176
_cell_angle_alpha 90.00
_cell_angle_beta 90.00
_cell_angle_gamma 120.00
_space_group_name_H-M_alt 'P 63/m m c'
_space_group_IT_number 194
_space_group_name_Hall '-P 6c 2c'
loop_
_atom_site_label
_atom_site_type_symbol
_atom_site_fract_x
_atom_site_fract_y
_atom_site_fract_z
Pm1 Pm 0.0000 0.0000 0.2500
Zn1 Zn 0.3333 0.6667 0.0787
Pd1 Pd 0.0000 0.0000 0.0000
Pd2 Pd 0.3333 0.6667 0.6261
```

---

Entry 8:
This entry pairs a crystal structure of Ca2BiPtO6 with its simulated powder diffractogram. Radiation: Cu Ka. Structure: DFT lattice parameters and positions (PBE).
Kinematic intensities with the Lorentz-polarization factor, no thermal factor.

Top 8 peaks for 10 to 80 degrees two-theta, low angle first:
2θ (°), intensity
21.8, 100
21.9, 45
30.3, 37
30.8, 77
31.3, 75
31.6, 32
44.3, 34
54.9, 18

Structural model:
```
data_Ca2BiPtO6
_chemical_formula_sum 'Ca4 Bi2 Pt2 O12'
_cell_length_a 5.6602
_cell_length_b 5.9049
_cell_length_c 9.8123
_cell_angle_alpha 90.00
_cell_angle_beta 124.11
_cell_angle_gamma 90.00
_space_group_name_H-M_alt 'P 1 21/c 1'
_space_group_IT_number 14
loop_
_space_group_symop_operation_xyz
'x,y,z'
'-x,-y,-z'
'-x,y+1/2,-z+1/2'
'x,-y+1/2,z+1/2'
loop_
_atom_site_label
_atom_site_type_symbol
_atom_site_fract_x
_atom_site_fract_y
_atom_site_fract_z
Ca1 Ca 0.2262 0.0627 0.2492
Bi1 Bi 0.5000 0.0000 0.0000
Pt1 Pt 0.0000 0.0000 0.5000
O1 O 0.1075 0.2161 0.9279
O2 O 0.2209 0.6899 0.9337
O3 O 0.3575 0.0562 0.7309
```